Starting from DFT lattice parameters and positions (PBE), the powder diffractogram of BaCoBr2 was computed for a wavelength of 1.5418 Å.
Lines closer than 0.1° are merged.

Most intense lines, 2θ = 10–90°, low angle first:
24.63°, I 24.8, hkl 1 0 1; 30.33°, I 48.1, hkl 0 2 0; 33.05°, I 31.1, hkl 0 1 3; 33.67°, I 100.0, hkl 1 1 2; 39.43°, I 18.9, hkl 0 0 4; 46.15°, I 14.6, hkl 2 0 0; 48.54°, I 20.4, hkl 1 1 4; 56.05°, I 22.3, hkl 1 3 2; 56.23°, I 16.0, hkl 2 2 0; 57.93°, I 12.4, hkl 2 1 3

Structural model:
```
data_BaCoBr2
_chemical_formula_sum 'Ba2 Co2 Br4'
_space_group_name_H-M_alt 'I m m m'
_space_group_IT_number 71
_space_group_name_Hall '-I 2 2'
_cell_length_a 3.9339
_cell_length_b 5.8932
_cell_length_c 9.1569
_cell_angle_alpha 90.00
_cell_angle_beta 90.00
_cell_angle_gamma 90.00
loop_
_atom_site_label
_atom_site_type_symbol
_atom_site_fract_x
_atom_site_fract_y
_atom_site_fract_z
Ba1 Ba 0.0000 0.0000 0.0000
Co1 Co 0.0000 0.0000 0.5000
Br1 Br 0.0000 0.5000 0.1792
```

***

Starting from DFT lattice parameters and positions (PBE), the powder diffractogram of BaCo2Br was computed for a wavelength of 1.5418 Å.
Lines closer than 0.1° are merged.

Most intense lines, 2θ = 10–90°, low angle first:
27.44°, I 81.9, hkl 0 1 1; 30.29°, I 60.0, hkl 1 0 1; 30.81°, I 50.2, hkl 1 0 -2; 34.78°, I 56.7, hkl 0 1 2; 35.36°, I 100.0, hkl 1 1 0; 35.52°, I 33.3, hkl 1 1 -1; 36.71°, I 58.7, hkl 0 0 3; 39.77°, I 50.8, hkl 1 1 -2; 50.36°, I 28.3, hkl 0 2 0; 56.23°, I 32.1, hkl 1 1 3

Structural model:
```
data_BaCo2Br
_chemical_formula_sum 'Ba1 Co2 Br1'
_space_group_name_H-M_alt 'P 1 m 1'
_space_group_IT_number 6
_cell_length_a 3.6496
_cell_length_b 3.6241
_cell_length_c 7.5388
_cell_angle_alpha 90.00
_cell_angle_beta 103.01
_cell_angle_gamma 90.00
loop_
_space_group_symop_operation_xyz
'x,y,z'
'x,-y,z'
loop_
_atom_site_label
_atom_site_type_symbol
_atom_site_fract_x
_atom_site_fract_y
_atom_site_fract_z
Ba1 Ba 0.0000 0.0000 0.0000
Co1 Co 0.3258 0.5000 0.3720
Co2 Co 0.7111 0.0000 0.3532
Br1 Br 0.3683 0.5000 0.7262
```

***

Starting from DFT lattice parameters and positions (PBE), the powder diffractogram of BaV2CoBr was computed for a wavelength of 1.5418 Å.
Lines closer than 0.1° are merged.

Most intense lines, 2θ = 10–90°, low angle first:
24.43°, I 36.8, hkl 1 0 1; 27.37°, I 33.8, hkl 1 1 0; 30.03°, I 62.5, hkl 0 0 2; 31.30°, I 100.0, hkl 1 1 1; 39.10°, I 59.8, hkl 2 0 0; 41.08°, I 22.8, hkl 1 1 2; 50.07°, I 61.8, hkl 2 0 2; 54.13°, I 20.2, hkl 1 1 3; 65.30°, I 29.2, hkl 2 2 2; 66.00°, I 22.0, hkl 3 1 1

Structural model:
```
data_BaV2CoBr
_chemical_formula_sum 'Ba1 V2 Co1 Br1'
_space_group_name_H-M_alt 'P 4/m m m'
_space_group_IT_number 123
_space_group_name_Hall '-P 4 2'
_cell_length_a 4.6081
_cell_length_b 4.6081
_cell_length_c 5.9506
_cell_angle_alpha 90.00
_cell_angle_beta 90.00
_cell_angle_gamma 90.00
loop_
_atom_site_label
_atom_site_type_symbol
_atom_site_fract_x
_atom_site_fract_y
_atom_site_fract_z
Ba1 Ba 0.0000 0.0000 0.0000
V1 V 0.0000 0.5000 0.5000
Co1 Co 0.5000 0.5000 0.5000
Br1 Br 0.5000 0.5000 0.0000
```

***

Starting from DFT lattice parameters and positions (PBE), the powder diffractogram of CsBa2SmBr8 was computed for a wavelength of 1.5418 Å.
Lines closer than 0.1° are merged.

Most intense lines, 2θ = 10–90°, low angle first:
17.18°, I 97.7, hkl 1 0 1; 21.40°, I 46.6, hkl 1 2 0; 24.62°, I 56.2, hkl 1 2 -1; 27.18°, I 35.9, hkl 1 0 -2; 32.52°, I 37.2, hkl 1 2 2; 32.73°, I 100.0, hkl 2 2 -1; 35.44°, I 24.0, hkl 0 4 0; 39.62°, I 23.9, hkl 1 4 -1; 40.88°, I 33.7, hkl 0 2 3; 50.39°, I 18.6, hkl 4 0 0

Structural model:
```
data_CsBa2SmBr8
_chemical_formula_sum 'Cs1 Ba2 Sm1 Br8'
_space_group_name_H-M_alt 'P 1 2/m 1'
_space_group_IT_number 10
_cell_length_a 7.2460
_cell_length_b 10.1325
_cell_length_c 7.3587
_cell_angle_alpha 90.00
_cell_angle_beta 90.21
_cell_angle_gamma 90.00
loop_
_space_group_symop_operation_xyz
'x,y,z'
'-x,-y,-z'
'-x,y,-z'
'x,-y,z'
loop_
_atom_site_label
_atom_site_type_symbol
_atom_site_fract_x
_atom_site_fract_y
_atom_site_fract_z
Cs1 Cs 0.0000 0.0000 0.0000
Ba1 Ba 0.5000 0.2525 0.5000
Sm1 Sm 0.0000 0.5000 0.0000
Br1 Br 0.2312 0.2984 0.8506
Br2 Br 0.2424 0.5000 0.3214
Br3 Br 0.2588 0.0000 0.3995
```

***

Starting from DFT lattice parameters and positions (PBE), the powder diffractogram of CsBaTl2Br8 was computed for a wavelength of 1.5418 Å.
Lines closer than 0.1° are merged.

Most intense lines, 2θ = 10–90°, low angle first:
15.85°, I 100.0, hkl 0 1 1; 21.05°, I 60.8, hkl 1 0 2; 23.82°, I 53.5, hkl 1 1 0; 25.14°, I 67.9, hkl 1 1 1; 27.70°, I 23.8, hkl 1 0 3; 28.75°, I 59.9, hkl 2 -1 2; 37.65°, I 26.4, hkl 3 -2 1; 40.40°, I 61.2, hkl 1 1 4; 41.88°, I 60.0, hkl 3 0 0; 53.72°, I 34.5, hkl 3 0 4

Structural model:
```
data_CsBaTl2Br8
_chemical_formula_sum 'Cs1 Ba1 Tl2 Br8'
_space_group_name_H-M_alt 'P -3'
_space_group_IT_number 147
_cell_length_a 7.4719
_cell_length_b 7.4719
_cell_length_c 11.1393
_cell_angle_alpha 90.00
_cell_angle_beta 90.00
_cell_angle_gamma 120.00
loop_
_space_group_symop_operation_xyz
'x,y,z'
'-x,-y,-z'
'-y,x-y,z'
'y,-x+y,-z'
'-x+y,-x,z'
'x-y,x,-z'
loop_
_atom_site_label
_atom_site_type_symbol
_atom_site_fract_x
_atom_site_fract_y
_atom_site_fract_z
Cs1 Cs 0.0000 0.0000 0.0000
Ba1 Ba 0.0000 0.0000 0.5000
Tl1 Tl 0.3333 0.6667 0.7658
Br1 Br 0.0220 0.6825 0.3088
Br2 Br 0.3333 0.6667 0.0056
```

***

Starting from DFT lattice parameters and positions (PBE), the powder diffractogram of Cs2BaUBr8 was computed for a wavelength of 1.5418 Å.
Lines closer than 0.1° are merged.

Most intense lines, 2θ = 10–90°, low angle first:
11.03°, I 28.8, hkl 0 1 0; 15.69°, I 97.4, hkl 1 1 0; 16.40°, I 60.3, hkl 1 -1 0; 21.29°, I 69.4, hkl 0 1 -2; 24.55°, I 30.4, hkl 1 -1 2; 30.76°, I 100.0, hkl 1 2 2; 31.52°, I 32.1, hkl 1 -2 2; 33.15°, I 34.5, hkl 2 -2 0; 36.77°, I 32.2, hkl 0 0 4; 40.01°, I 47.2, hkl 3 0 2

Structural model:
```
data_Cs2BaUBr8
_chemical_formula_sum 'Cs2 Ba1 U1 Br8'
_space_group_name_H-M_alt 'P -1'
_space_group_IT_number 2
_cell_length_a 7.6264
_cell_length_b 8.0272
_cell_length_c 9.7770
_cell_angle_alpha 89.97
_cell_angle_beta 89.91
_cell_angle_gamma 87.47
loop_
_space_group_symop_operation_xyz
'x,y,z'
'-x,-y,-z'
loop_
_atom_site_label
_atom_site_type_symbol
_atom_site_fract_x
_atom_site_fract_y
_atom_site_fract_z
Cs1 Cs 0.0010 0.0000 0.2429
Ba1 Ba 0.5000 0.5000 0.5000
U1 U 0.5000 0.5000 0.0000
Br1 Br 0.1692 0.7427 0.5002
Br2 Br 0.1863 0.6827 0.9999
Br3 Br 0.3750 0.2969 0.7883
Br4 Br 0.3777 0.2952 0.2121
```

***

Starting from DFT lattice parameters and positions (PBE), the powder diffractogram of Cs2BaVBr6 was computed for a wavelength of 1.5418 Å.
Lines closer than 0.1° are merged.

Most intense lines, 2θ = 10–90°, low angle first:
21.65°, I 49.1, hkl 2 0 0; 26.60°, I 72.1, hkl 2 2 0; 30.81°, I 100.0, hkl 2 0 2; 37.97°, I 19.0, hkl 3 2 1; 44.13°, I 68.6, hkl 4 0 0; 49.66°, I 14.0, hkl 3 2 3; 52.27°, I 27.0, hkl 4 2 2; 54.78°, I 22.6, hkl 4 4 0; 72.87°, I 26.2, hkl 6 0 2; 81.17°, I 18.6, hkl 6 4 2

Structural model:
```
data_Cs2BaVBr6
_chemical_formula_sum 'Cs4 Ba2 V2 Br12'
_space_group_name_H-M_alt 'P m m n'
_space_group_IT_number 59
_cell_length_a 8.2066
_cell_length_b 11.6085
_cell_length_c 8.2132
_cell_angle_alpha 90.00
_cell_angle_beta 90.00
_cell_angle_gamma 90.00
loop_
_space_group_symop_operation_xyz
'x,y,z'
'-x,-y,-z'
'-x+1/2,-y+1/2,z'
'x+1/2,y+1/2,-z'
'x+1/2,-y,-z'
'-x+1/2,y,z'
'-x,y+1/2,-z'
'x,-y+1/2,z'
loop_
_atom_site_label
_atom_site_type_symbol
_atom_site_fract_x
_atom_site_fract_y
_atom_site_fract_z
Cs1 Cs 0.2500 0.0003 0.2487
Ba1 Ba 0.2500 0.2500 0.7493
V1 V 0.2500 0.7500 0.7505
Br1 Br 0.0219 0.7500 0.5226
Br2 Br 0.0218 0.7500 0.9784
Br3 Br 0.2500 0.5220 0.7505
```

***

Starting from DFT lattice parameters and positions (PBE), the powder diffractogram of BaCuBr5 was computed for a wavelength of 1.5418 Å.
Lines closer than 0.1° are merged.

Most intense lines, 2θ = 10–90°, low angle first:
18.55°, I 23.7, hkl 1 1 1; 26.19°, I 100.0, hkl 2 0 2; 27.52°, I 13.8, hkl 3 1 -2; 30.48°, I 22.3, hkl 2 0 -4; 30.76°, I 65.1, hkl 2 2 -1; 30.97°, I 48.5, hkl 4 0 -2; 32.44°, I 24.5, hkl 2 2 -2; 32.96°, I 23.9, hkl 1 1 -4; 35.91°, I 46.8, hkl 0 2 3; 45.31°, I 22.3, hkl 4 2 1

Structural model:
```
data_BaCuBr5
_chemical_formula_sum 'Ba4 Cu4 Br20'
_space_group_name_H-M_alt 'C 1 2/c 1'
_space_group_IT_number 15
_cell_length_a 11.7082
_cell_length_b 6.7277
_cell_length_c 11.9279
_cell_angle_alpha 90.00
_cell_angle_beta 109.67
_cell_angle_gamma 90.00
loop_
_space_group_symop_operation_xyz
'x,y,z'
'-x,-y,-z'
'-x,y,-z+1/2'
'x,-y,z+1/2'
'x+1/2,y+1/2,z'
'-x+1/2,-y+1/2,-z'
'-x+1/2,y+1/2,-z+1/2'
'x+1/2,-y+1/2,z+1/2'
loop_
_atom_site_label
_atom_site_type_symbol
_atom_site_fract_x
_atom_site_fract_y
_atom_site_fract_z
Ba1 Ba 0.0000 0.1497 0.2500
Cu1 Cu 0.2500 0.2500 0.0000
Br1 Br 0.0000 0.3407 0.7500
Br2 Br 0.1618 0.0411 0.5423
Br3 Br 0.1676 0.4354 0.1242
```